Diffraction record for Li5Co3O8. The X-ray diffraction stick pattern is theoretical, not measured: it uses the GGA+U geometry in Alexandria and copper Kα.
Lines closer than 0.1° are merged.

abc: 2.9789 5.0039 9.6827
angles: 77.42 86.99 88.67
Space group P-1 (No. 2)
Asymmetric unit:
1 Li 0.0000 0.0000 0.0000
2 Li 0.0000 0.5000 0.5000
3 Li 0.4796 0.2421 0.7514
4 Li 0.5000 0.0000 0.5000
5 Co 0.0179 0.2478 0.2596
6 Co 0.5000 0.5000 0.0000
7 O 0.0111 0.9153 0.3592
8 O 0.0332 0.5931 0.1270
9 O 0.4536 0.6257 0.6341
10 O 0.4747 0.1516 0.1225

Main lines, low angle first (10° ≤ 2θ ≤ 80°):
d 4.883, rel. 10, (0 1 0)
d 4.781, rel. 100, (0 1 1)
d 4.719, rel. 12, (0 0 2)
d 2.573, rel. 23, (1 0 2)
d 2.463, rel. 12, (1 0 -2)
d 2.153, rel. 36, (1 1 3)
d 2.042, rel. 29, (-1 1 3)
d 1.999, rel. 26, (0 2 -2)